No. 1
Diffraction record for MnCuPtRh. The XRD peak list is computed, not measured: it uses a DFT-relaxed cell (GGA-PBE, Alexandria) and Cu Kα.
Peak positions follow from Bragg's law for the DFT cell and can differ from measured ones.

Top 10 peaks for 2θ from 5° to 70°, in order of falling intensity:
2θ/deg, I/Imax
41.09, 100
45.88, 18
46.80, 17
32.31, 16
24.70, 16
50.65, 13
67.62, 11
22.47, 6
61.37, 6
33.94, 5

```
MnCuPtRh
1.0
3.604 0.000 0.000
0.000 3.882 0.000
0.000 0.000 3.956
Mn Cu Pt Rh
1 1 1 1
Cartesian
0.000 0.000 0.000 Mn
0.000 1.941 1.978 Cu
1.802 0.000 1.978 Pt
1.802 1.941 0.000 Rh
```

No. 2
Diffraction record for Ag8PdAu3. The XRD peak list is computed, not measured: it uses a DFT-relaxed cell (GGA-PBE, Alexandria) and Cu Kα.
Peak positions follow from Bragg's law for the DFT cell and can differ from measured ones.

Top 10 peaks for 2θ from 5° to 70°, in order of falling intensity:
2θ/deg, I/Imax
37.70, 100
43.97, 32
63.55, 21
43.47, 17
63.83, 5
64.04, 5
15.24, 5
26.33, 3
21.34, 2
30.70, 2

```
Ag8PdAu3
1.0
5.085 0.000 0.000
0.000 5.816 0.000
-0.062 0.000 7.165
Ag Pd Au
8 1 3
Cartesian
0.000 1.443 0.000 Ag
0.000 4.372 0.000 Ag
0.817 0.000 4.789 Ag
1.680 1.443 2.370 Ag
1.680 4.373 2.370 Ag
3.342 1.443 4.794 Ag
3.342 4.373 4.794 Ag
4.206 0.000 2.376 Ag
2.542 0.000 0.000 Pd
0.804 2.908 4.764 Au
2.542 2.908 0.000 Au
4.218 2.908 2.401 Au
```

No. 3
Diffraction record for Cs2U2Te5. The XRD peak list is computed, not measured: it uses a DFT-relaxed cell (GGA-PBE, Alexandria) and Cu Kα.
Peak positions follow from Bragg's law for the DFT cell and can differ from measured ones.

Top 10 peaks for 2θ from 5° to 70°, in order of falling intensity:
2θ/deg, I/Imax
9.43, 100
33.65, 84
30.24, 59
33.53, 50
27.43, 41
55.77, 29
28.02, 27
37.21, 27
22.95, 22
45.46, 18

```
Cs2U2Te5
1.0
9.384 -4.253 0.000
9.384 4.253 0.000
0.000 0.000 8.513
Cs U Te
4 4 10
Cartesian
3.876 0.000 0.000 Cs
5.507 0.000 4.256 Cs
13.260 0.000 4.256 Cs
14.891 0.000 0.000 Cs
9.384 2.935 5.576 U
9.384 1.318 1.320 U
9.384 -1.318 7.193 U
9.384 -2.935 2.936 U
0.000 0.000 0.000 Te
7.406 3.012 3.015 Te
7.406 1.241 7.272 Te
11.361 3.012 3.015 Te
11.361 1.241 7.272 Te
9.384 0.000 4.256 Te
7.406 -1.241 1.241 Te
7.406 -3.012 5.497 Te
11.361 -1.241 1.241 Te
11.361 -3.012 5.497 Te
```

No. 4
Diffraction record for Rb3U2Se9. The XRD peak list is computed, not measured: it uses a DFT-relaxed cell (GGA-PBE, Alexandria) and Cu Kα.
Peak positions follow from Bragg's law for the DFT cell and can differ from measured ones.

Top 10 peaks for 2θ from 5° to 70°, in order of falling intensity:
2θ/deg, I/Imax
11.78, 100
30.03, 36
34.55, 25
38.60, 23
31.50, 18
20.47, 18
29.79, 17
27.50, 16
30.53, 13
44.08, 12

```
Rb3U2Se9
1.0
7.514 4.338 4.981
-7.514 4.338 4.981
0.000 -8.677 4.981
Rb U Se
6 4 18
Cartesian
-1.562 -3.871 4.981 Rb
-4.943 -1.050 7.472 Rb
-2.571 3.288 4.981 Rb
3.381 -3.756 7.472 Rb
4.133 0.582 4.981 Rb
1.562 4.806 7.472 Rb
0.000 0.000 3.553 U
0.000 0.000 7.179 U
0.000 0.000 11.025 U
0.000 0.000 14.651 U
-5.983 1.832 5.832 Se
-1.449 -7.032 6.597 Se
-2.132 -0.236 5.246 Se
1.404 -6.097 5.832 Se
-5.365 4.771 6.597 Se
-1.531 -2.506 8.322 Se
1.270 -1.728 5.246 Se
-2.149 0.432 9.087 Se
0.861 1.964 5.246 Se
-1.404 2.579 8.322 Se
0.700 -2.077 9.087 Se
-1.270 -1.728 12.717 Se
2.936 -0.073 8.322 Se
1.449 1.645 9.087 Se
4.578 4.265 5.832 Se
-0.861 1.964 12.717 Se
6.814 2.261 6.597 Se
2.132 -0.236 12.717 Se
```

No. 5
Diffraction record for Ac5CoAu2. The XRD peak list is computed, not measured: it uses a DFT-relaxed cell (GGA-PBE, Alexandria) and Cu Kα.
Peak positions follow from Bragg's law for the DFT cell and can differ from measured ones.

Top 10 peaks for 2θ from 5° to 70°, in order of falling intensity:
2θ/deg, I/Imax
26.92, 100
28.89, 95
27.86, 94
26.68, 59
35.73, 58
31.47, 55
33.15, 52
30.40, 48
49.01, 37
32.16, 35

```
Ac5CoAu2
1.0
9.349 -3.682 0.000
9.349 3.682 0.000
-1.033 0.000 7.955
Ac Co Au
10 2 4
Cartesian
8.574 3.131 5.967 Ac
3.709 0.518 2.407 Ac
3.192 -0.518 6.385 Ac
7.408 0.811 0.560 Ac
10.773 0.811 3.417 Ac
6.891 -0.811 4.538 Ac
10.257 -0.811 7.395 Ac
14.472 0.518 1.571 Ac
13.955 -0.518 5.548 Ac
9.091 -3.131 1.989 Ac
4.674 1.841 0.000 Co
4.158 -1.841 3.978 Co
6.964 2.205 3.409 Au
11.217 2.205 0.568 Au
6.447 -2.205 7.387 Au
10.701 -2.205 4.546 Au
```

No. 6
Diffraction record for NdTm5Sc. The XRD peak list is computed, not measured: it uses a DFT-relaxed cell (GGA-PBE, Alexandria) and Cu Kα.
Peak positions follow from Bragg's law for the DFT cell and can differ from measured ones.

Top 10 peaks for 2θ from 5° to 70°, in order of falling intensity:
2θ/deg, I/Imax
32.41, 100
32.64, 73
31.37, 66
33.40, 37
32.17, 34
33.87, 23
26.65, 22
51.74, 22
31.52, 18
10.73, 15

```
NdTm5Sc
1.0
9.097 0.000 0.000
0.000 3.533 0.000
-2.924 0.000 13.232
Nd Tm Sc
2 10 2
Cartesian
0.617 0.883 1.801 Nd
5.555 2.650 11.431 Nd
-1.051 2.650 4.917 Tm
-0.714 0.883 11.700 Tm
1.496 0.883 6.709 Tm
1.076 2.650 9.547 Tm
3.572 2.650 1.100 Tm
2.601 0.883 12.132 Tm
5.097 0.883 3.685 Tm
4.677 2.650 6.523 Tm
6.886 2.650 1.532 Tm
7.224 0.883 8.315 Tm
2.304 2.650 4.087 Sc
3.869 0.883 9.145 Sc
```

Please write out number 2 again, unchanged.
Diffraction record for Ag8PdAu3. The XRD peak list is computed, not measured: it uses a DFT-relaxed cell (GGA-PBE, Alexandria) and Cu Kα.
Peak positions follow from Bragg's law for the DFT cell and can differ from measured ones.

Top 10 peaks for 2θ from 5° to 70°, in order of falling intensity:
2θ/deg, I/Imax
37.70, 100
43.97, 32
63.55, 21
43.47, 17
63.83, 5
64.04, 5
15.24, 5
26.33, 3
21.34, 2
30.70, 2

```
Ag8PdAu3
1.0
5.085 0.000 0.000
0.000 5.816 0.000
-0.062 0.000 7.165
Ag Pd Au
8 1 3
Cartesian
0.000 1.443 0.000 Ag
0.000 4.372 0.000 Ag
0.817 0.000 4.789 Ag
1.680 1.443 2.370 Ag
1.680 4.373 2.370 Ag
3.342 1.443 4.794 Ag
3.342 4.373 4.794 Ag
4.206 0.000 2.376 Ag
2.542 0.000 0.000 Pd
0.804 2.908 4.764 Au
2.542 2.908 0.000 Au
4.218 2.908 2.401 Au
```